# 1
The following is a theoretical powder X-ray diffraction pattern of Zr3S. It was derived from the PBE geometry in the Materials Project, using a wavelength of 1.5418 Å.
Intensities are scaled so that the largest is 100.

Cell and atoms:
Cell lengths 4.272, 4.272, 4.272 Å; angles 90.00, 90.00, 90.00 degrees
Space group Pm-3m (No. 221)
Symmetry-distinct sites (fractional):
Zr (0.000, 0.000, 0.500) (multiplicity 3)
S (0.500, 0.500, 0.500) (multiplicity 1)

Principal peaks in the range 10° ≤ 2θ ≤ 90°, low angle first:
two_theta, I_rel, (hkl)
20.79, 11, 1 0 0
29.57, 10, 1 1 0
36.43, 100, 1 1 1
42.32, 49, 2 0 0
47.60, 5, 2 1 0
52.47, 4, 2 1 1
61.39, 31, 2 2 0
65.56, 3, 3 0 0
73.53, 36, 3 1 1
77.39, 10, 2 2 2



# 2
The following is a theoretical powder X-ray diffraction pattern of Zr3S4. It was derived from the PBE geometry in the Materials Project, using a wavelength of 1.5418 Å.
Intensities are scaled so that the largest is 100.

Cell and atoms:
Cell lengths 10.781, 10.781, 10.781 Å; angles 90.00, 90.00, 90.00 degrees
Space group Fd-3m (No. 227, origin choice 2)
Symmetry-distinct sites (fractional):
Zr (0.000, 0.000, 0.000) (multiplicity 16)
Zr (0.125, 0.125, 0.625) (multiplicity 8)
S (0.006, 0.006, 0.244) (multiplicity 32)

Principal peaks in the range 10° ≤ 2θ ≤ 90°, low angle first:
two_theta, I_rel, (hkl)
23.34, 27, 2 2 0
27.44, 100, 3 1 1
33.24, 31, 4 0 0
41.01, 12, 4 2 2
43.62, 42, 5 1 1
47.72, 70, 4 4 0
55.93, 13, 5 3 3
66.63, 21, 5 5 3
76.53, 12, 5 5 5
88.95, 23, 8 4 4



# 3
The following is a theoretical powder X-ray diffraction pattern of Zr9S2. It was derived from the PBE geometry in the Materials Project, using a wavelength of 1.5418 Å.
Intensities are scaled so that the largest is 100.

Cell and atoms:
Cell lengths 9.792, 9.792, 19.391 Å; angles 90.00, 90.00, 90.00 degrees
Space group I4_1/amd (No. 141, origin choice 2)
Symmetry-distinct sites (fractional):
Zr (0.000, 0.030, 0.357) (multiplicity 16)
Zr (0.000, 0.078, 0.069) (multiplicity 16)
Zr (0.000, 0.102, 0.801) (multiplicity 16)
Zr (0.000, 0.250, 0.240) (multiplicity 8)
Zr (0.179, 0.000, 0.500) (multiplicity 16)
S (0.228, 0.022, 0.875) (multiplicity 16)

Principal peaks in the range 10° ≤ 2θ ≤ 90°, low angle first:
two_theta, I_rel, (hkl)
31.76, 38, 2 2 4
33.30, 12, 3 2 1
33.62, 52, 1 0 7
34.36, 60, 3 1 4
35.87, 100, 3 2 3
36.71, 29, 4 0 0
38.18, 12, 4 1 1
45.69, 12, 2 2 8
58.13, 11, 5 3 4
65.57, 16, 6 3 3



# 4
The following is a theoretical powder X-ray diffraction pattern of Zr3S4. It was derived from the PBE geometry in the Materials Project, using a wavelength of 1.5418 Å.
Intensities are scaled so that the largest is 100.

Cell and atoms:
Cell lengths 7.344, 10.234, 3.692 Å; angles 90.00, 90.00, 90.00 degrees
Space group Cmmm (No. 65)
Symmetry-distinct sites (fractional):
Zr (0.000, 0.000, 0.000) (multiplicity 2)
Zr (0.250, 0.250, 0.500) (multiplicity 4)
S (0.000, 0.261, 0.000) (multiplicity 4)
S (0.244, 0.500, 0.500) (multiplicity 4)

Principal peaks in the range 10° ≤ 2θ ≤ 90°, low angle first:
two_theta, I_rel, (hkl)
14.85, 35, 1 1 0
28.43, 16, 1 1 1
29.84, 18, 0 2 1
29.95, 18, 2 2 0
34.45, 100, 2 0 1
35.07, 47, 0 4 0
49.37, 17, 0 0 2
49.65, 17, 4 0 0
49.98, 65, 2 4 1
61.99, 16, 0 4 2



> Number 4 is which compound?

Zr3S4